Record 1
Sn: computed powder X-ray diffraction pattern (a wavelength of 1.5418 Å), based on a crystal structure in the Materials Project, relaxed with GGA-PBE.

Structural model:
Lattice parameters (Å, degrees): 3.453 3.551 4.677 90.00 90.00 90.00
Fractional coordinates of all 2 atoms:
1 Sn 0.000 0.000 0.000
2 Sn 0.500 0.500 0.500

The 10 most intense peaks (2θ from 10° to 80°), in order of falling intensity:
two_theta	d [Å]	intensity
31.64	2.828	100
32.22	2.778	95
36.29	2.476	70
53.94	1.700	46
62.04	1.496	31
38.50	2.338	30
63.09	1.474	29
65.38	1.427	13
51.47	1.776	13
65.72	1.421	13

***

Record 2
ErZn12: computed powder X-ray diffraction pattern (a wavelength of 1.5418 Å), based on a crystal structure in the Materials Project, relaxed with GGA-PBE.

Structural model:
Lattice parameters (Å, degrees): 6.801 6.801 6.801 98.36 98.36 135.18
Fractional coordinates of all 13 atoms:
1 Er 0.000 0.000 0.000
2 Zn 0.000 0.000 0.500
3 Zn 0.000 0.354 0.354
4 Zn 0.000 0.500 0.000
5 Zn 0.000 0.646 0.646
6 Zn 0.285 0.500 0.785
7 Zn 0.354 0.000 0.354
8 Zn 0.500 0.000 0.000
9 Zn 0.500 0.285 0.785
10 Zn 0.500 0.500 0.500
11 Zn 0.500 0.715 0.215
12 Zn 0.646 0.000 0.646
13 Zn 0.715 0.500 0.215

The 10 most intense peaks (2θ from 10° to 80°), in order of falling intensity:
two_theta	d [Å]	intensity
40.53	2.226	100
40.27	2.240	47
34.87	2.573	32
45.34	2.000	21
45.60	1.989	16
66.01	1.415	15
28.28	3.155	15
73.62	1.287	14
73.78	1.284	12
34.60	2.592	11

***

Record 3
UMn2: computed powder X-ray diffraction pattern (a wavelength of 1.5418 Å), based on a crystal structure in the Materials Project, relaxed with GGA-PBE.

Structural model:
Lattice parameters (Å, degrees): 4.995 4.995 4.995 60.00 60.00 60.00
Fractional coordinates of all 6 atoms:
1 U 0.125 0.125 0.125
2 U 0.875 0.875 0.875
3 Mn 0.000 0.500 0.500
4 Mn 0.500 0.000 0.500
5 Mn 0.500 0.500 0.000
6 Mn 0.500 0.500 0.500

The 9 most intense peaks (2θ from 10° to 80°), in order of falling intensity:
two_theta	d [Å]	intensity
42.44	2.130	100
35.96	2.498	87
21.79	4.079	40
64.63	1.442	33
69.09	1.360	32
76.24	1.249	22
56.81	1.621	11
44.42	2.039	7
51.76	1.766	5

***

Record 4
Mg14CuSn: computed powder X-ray diffraction pattern (a wavelength of 1.5418 Å), based on a crystal structure in the Materials Project, relaxed with GGA-PBE.

Structural model:
Lattice parameters (Å, degrees): 6.266 6.266 10.327 90.00 90.00 120.00
Fractional coordinates of all 16 atoms:
1 Mg 0.000 0.000 0.248
2 Mg 0.000 0.000 0.752
3 Mg 0.005 0.502 0.240
4 Mg 0.005 0.502 0.760
5 Mg 0.330 0.165 0.000
6 Mg 0.334 0.167 0.500
7 Mg 0.498 0.502 0.240
8 Mg 0.498 0.502 0.760
9 Mg 0.498 0.995 0.240
10 Mg 0.498 0.995 0.760
11 Mg 0.833 0.167 0.500
12 Mg 0.833 0.666 0.500
13 Mg 0.835 0.165 0.000
14 Mg 0.835 0.670 0.000
15 Cu 0.333 0.667 0.000
16 Sn 0.333 0.667 0.500

The 10 most intense peaks (2θ from 10° to 80°), in order of falling intensity:
two_theta	d [Å]	intensity
37.44	2.402	100
16.34	5.426	32
33.02	2.713	28
34.75	2.582	26
23.79	3.741	26
64.07	1.453	20
70.29	1.339	19
48.68	1.870	18
58.96	1.566	17
71.97	1.312	14

***

Record 5
Bi2SO7: computed powder X-ray diffraction pattern (a wavelength of 1.5418 Å), based on a crystal structure in the Materials Project, relaxed with GGA-PBE.

Structural model:
Lattice parameters (Å, degrees): 8.065 12.869 5.869 90.00 109.97 90.00
Fractional coordinates of all 40 atoms:
1 Bi 0.046 0.135 0.431
2 Bi 0.046 0.365 0.931
3 Bi 0.297 0.623 0.780
4 Bi 0.297 0.877 0.280
5 Bi 0.703 0.123 0.720
6 Bi 0.703 0.377 0.220
7 Bi 0.954 0.635 0.069
8 Bi 0.954 0.865 0.569
9 S 0.376 0.137 0.094
10 S 0.376 0.363 0.594
11 S 0.624 0.637 0.406
12 S 0.624 0.863 0.906
13 O 0.095 0.585 0.442
14 O 0.095 0.915 0.942
15 O 0.102 0.735 0.867
16 O 0.102 0.765 0.367
17 O 0.140 0.538 0.955
18 O 0.140 0.962 0.455
19 O 0.238 0.205 0.136
20 O 0.238 0.295 0.636
21 O 0.313 0.092 0.848
22 O 0.313 0.408 0.348
23 O 0.410 0.053 0.285
24 O 0.410 0.447 0.785
25 O 0.456 0.694 0.361
26 O 0.456 0.806 0.861
27 O 0.544 0.194 0.139
28 O 0.544 0.306 0.639
29 O 0.590 0.553 0.215
30 O 0.590 0.947 0.715
31 O 0.687 0.592 0.652
32 O 0.687 0.908 0.152
33 O 0.762 0.705 0.364
34 O 0.762 0.795 0.864
35 O 0.860 0.038 0.545
36 O 0.860 0.462 0.045
37 O 0.898 0.235 0.633
38 O 0.898 0.265 0.133
39 O 0.905 0.085 0.058
40 O 0.905 0.415 0.558

The 10 most intense peaks (2θ from 10° to 80°), in order of falling intensity:
two_theta	d [Å]	intensity
27.34	3.262	100
23.99	3.710	69
27.73	3.217	50
31.11	2.875	45
31.27	2.860	34
46.95	1.935	29
11.68	7.580	26
48.80	1.866	25
17.49	5.070	25
24.51	3.633	24

***

Record 6
Na3ScTiSi2SO12: computed powder X-ray diffraction pattern (a wavelength of 1.5418 Å), based on a crystal structure in the Materials Project, relaxed with GGA-PBE.

Structural model:
Lattice parameters (Å, degrees): 9.013 9.013 9.218 120.35 120.35 60.46
Fractional coordinates of all 40 atoms:
1 Na 0.066 0.934 0.500
2 Na 0.174 0.688 0.755
3 Na 0.299 0.437 0.007
4 Na 0.437 0.299 0.507
5 Na 0.688 0.174 0.255
6 Na 0.934 0.066 0.000
7 Sc 0.034 0.547 0.316
8 Sc 0.547 0.034 0.816
9 Ti 0.322 0.868 0.202
10 Ti 0.868 0.322 0.702
11 Si 0.150 0.239 0.517
12 Si 0.239 0.150 0.017
13 Si 0.733 0.943 0.517
14 Si 0.943 0.733 0.017
15 S 0.444 0.643 0.507
16 S 0.643 0.444 0.007
17 O 0.051 0.178 0.836
18 O 0.129 0.413 0.494
19 O 0.131 0.743 0.032
20 O 0.178 0.051 0.336
21 O 0.205 0.323 0.190
22 O 0.246 0.967 0.029
23 O 0.283 0.621 0.494
24 O 0.323 0.205 0.690
25 O 0.413 0.129 0.994
26 O 0.414 0.668 0.346
27 O 0.466 0.806 0.666
28 O 0.477 0.600 0.029
29 O 0.540 0.914 0.345
30 O 0.600 0.477 0.529
31 O 0.621 0.283 0.994
32 O 0.668 0.414 0.846
33 O 0.708 0.976 0.693
34 O 0.743 0.131 0.532
35 O 0.781 0.921 0.999
36 O 0.806 0.466 0.166
37 O 0.914 0.540 0.845
38 O 0.921 0.781 0.499
39 O 0.967 0.246 0.529
40 O 0.976 0.708 0.193

The 10 most intense peaks (2θ from 10° to 80°), in order of falling intensity:
two_theta	d [Å]	intensity
30.99	2.885	100
22.93	3.879	99
34.31	2.614	91
30.72	2.910	88
31.45	2.845	86
30.55	2.926	74
19.26	4.609	70
13.69	6.467	65
23.28	3.820	64
22.81	3.899	61